Structure and simulated PXRD pattern of CaNd5Zn4 (the PBE geometry in Alexandria; Cu Kα (weighted mean of Kα1 and Kα2)).
Kinematic intensities with the Lorentz-polarization factor, no thermal factor.

Most intense lines, 2θ from 10° to 90°, low angle first:
Position (°2θ), d [Å], I/Imax
23.91, 3.722, 30
32.88, 2.724, 100
34.06, 2.632, 87
36.18, 2.482, 70
48.94, 1.861, 31
60.22, 1.537, 35
62.06, 1.495, 25
62.36, 1.489, 28
72.73, 1.300, 16
81.83, 1.177, 13

Crystal structure
a b c (Å): 3.7223 3.7223 19.9898
angles (deg): 90.00 90.00 90.00
Fractional positions:
Ca  0.0000  0.0000  0.0000
Nd  0.5000  0.5000  0.1400
Nd  0.5000  0.5000  0.3178
Nd  0.5000  0.5000  0.5000
Nd  0.5000  0.5000  0.6822
Nd  0.5000  0.5000  0.8600
Zn  0.0000  0.0000  0.2256
Zn  0.0000  0.0000  0.4082
Zn  0.0000  0.0000  0.5918
Zn  0.0000  0.0000  0.7744

***

Structure and simulated PXRD pattern of CaNd3Zn4 (the PBE geometry in Alexandria; Cu Kα (weighted mean of Kα1 and Kα2)).
Kinematic intensities with the Lorentz-polarization factor, no thermal factor.

Most intense lines, 2θ from 10° to 90°, low angle first:
Position (°2θ), d [Å], I/Imax
24.25, 3.671, 8
34.40, 2.607, 100
34.56, 2.596, 49
49.20, 1.852, 9
49.67, 1.835, 17
61.51, 1.507, 18
61.82, 1.501, 35
72.51, 1.304, 11
82.42, 1.170, 8
83.19, 1.161, 15

Crystal structure
a b c (Å): 10.3808 7.4071 5.1922
angles (deg): 90.00 90.00 90.00
Fractional positions:
Ca  0.0000  0.0000  0.0000
Ca  0.5000  0.0000  0.0000
Nd  0.0000  0.5000  0.0000
Nd  0.2500  0.0000  0.4993
Nd  0.2500  0.5000  0.4992
Nd  0.5000  0.5000  0.0000
Nd  0.7500  0.0000  0.5007
Nd  0.7500  0.5000  0.5008
Zn  0.0000  0.2497  0.5000
Zn  0.0000  0.7503  0.5000
Zn  0.2500  0.2497  0.9989
Zn  0.2500  0.7503  0.9989
Zn  0.5000  0.2497  0.5000
Zn  0.5000  0.7503  0.5000
Zn  0.7500  0.2497  0.0011
Zn  0.7500  0.7503  0.0011

***

Structure and simulated PXRD pattern of Ca2NdZn6 (the PBE geometry in Alexandria; Cu Kα (weighted mean of Kα1 and Kα2)).
Kinematic intensities with the Lorentz-polarization factor, no thermal factor.

Most intense lines, 2θ from 10° to 90°, low angle first:
Position (°2θ), d [Å], I/Imax
13.06, 6.779, 22
23.85, 3.732, 8
27.28, 3.269, 9
33.17, 2.701, 100
39.90, 2.260, 66
48.81, 1.866, 12
52.83, 1.733, 25
64.80, 1.439, 29
68.20, 1.375, 23
72.45, 1.305, 10

Crystal structure
a b c (Å): 7.8271 7.8271 3.7317
angles (deg): 90.00 90.00 120.00
Fractional positions:
Ca  0.3333  0.6667  0.0000
Ca  0.6667  0.3333  0.0000
Nd  0.0000  0.0000  0.0000
Zn  0.0000  0.3347  0.5000
Zn  0.0000  0.6653  0.5000
Zn  0.3347  0.0000  0.5000
Zn  0.3347  0.3347  0.5000
Zn  0.6653  0.0000  0.5000
Zn  0.6653  0.6653  0.5000

***

Structure and simulated PXRD pattern of Ca3NdZn8 (the PBE geometry in Alexandria; Cu Kα (weighted mean of Kα1 and Kα2)).
Kinematic intensities with the Lorentz-polarization factor, no thermal factor.

Most intense lines, 2θ from 10° to 90°, low angle first:
Position (°2θ), d [Å], I/Imax
18.68, 4.749, 6
19.52, 4.549, 11
32.13, 2.786, 25
37.87, 2.376, 100
39.63, 2.274, 43
57.29, 1.608, 9
61.12, 1.516, 31
67.22, 1.393, 26
79.82, 1.202, 8
80.94, 1.188, 14

Crystal structure
a b c (Å): 9.6556 9.6556 9.6556
angles (deg): 33.52 33.52 33.52
Fractional positions:
Ca  0.0000  0.0000  0.0000
Ca  0.1252  0.1252  0.1252
Ca  0.6262  0.6262  0.6262
Nd  0.5011  0.5011  0.5011
Zn  0.0622  0.0622  0.5645
Zn  0.0622  0.5645  0.0622
Zn  0.0636  0.5628  0.5628
Zn  0.3135  0.3135  0.3135
Zn  0.5628  0.0636  0.5628
Zn  0.5628  0.5628  0.0636
Zn  0.5645  0.0622  0.0622
Zn  0.8132  0.8132  0.8132

***

Which formula does entry 1 have? CaNd5Zn4